Theoretical powder X-ray diffraction pattern
Compound: Ce2TiSb3
Radiation: copper Kα
Structure: the PBE geometry in Alexandria
Kinematic intensities with the Lorentz-polarization factor, no thermal factor.

Peak list (8 most intense, 2θ from 5° to 70°, low angle first)
d [Å], 2θ/deg, I/Imax, h k l
3.194, 27.94, 99, 1 1 0
2.983, 29.96, 59, 1 1 2
2.783, 32.17, 64, 0 0 6
2.588, 34.66, 67, 0 2 0
2.536, 35.39, 100, 1 1 4
2.098, 43.12, 41, 1 1 6
2.030, 44.65, 42, 2 0 0
1.895, 48.01, 41, 0 2 6

Crystal structure
```
Ce2TiSb3
1.0
4.0582 0.0000 0.0000
0.0000 5.1765 0.0000
0.0000 0.0000 16.6955
Ce Ti Sb
4 2 6
Direct
0.0000 0.0000 0.1463
0.0000 0.0000 0.8537
0.5000 0.5000 0.3537
0.5000 0.5000 0.6463
0.0000 0.0000 0.5000
0.5000 0.5000 0.0000
0.0000 0.0000 0.3334
0.0000 0.0000 0.6666
0.0000 0.5000 0.5000
0.5000 0.0000 0.0000
0.5000 0.5000 0.1666
0.5000 0.5000 0.8334
```